# 1
For CsGdW2O8, DFT lattice parameters and positions (GGA+U) gives the computed X-ray powder pattern in this record (copper Kα).
Neutral-atom scattering factors, no anomalous dispersion.

Most intense lines, 10° ≤ 2θ ≤ 90°, low angle first:
2theta, Rel. int.
26.78, 1000
27.72, 214
28.76, 776
30.71, 341
32.89, 352
32.98, 158
45.68, 166
46.34, 132
48.62, 146
53.30, 148
54.54, 173
60.62, 123

Structural model:
Cell lengths 10.974, 10.865, 7.581 Å; angles 90.00, 129.83, 90.00 degrees
Space group C2/c (No. 15)
Symmetry-distinct sites (fractional):
Cs: 0.000 0.198 0.250 [4 per cell]
Gd: 0.000 0.224 0.750 [4 per cell]
W: 0.192 0.494 0.719 [8 per cell]
O: 0.020 0.392 0.967 [8 per cell]
O: 0.135 0.082 0.699 [8 per cell]
O: 0.185 0.436 0.436 [8 per cell]
O: 0.221 0.155 0.128 [8 per cell]

# 2
For CsMnP3HO10, DFT lattice parameters and positions (GGA+U) gives the computed X-ray powder pattern in this record (copper Kα).
Neutral-atom scattering factors, no anomalous dispersion.

Most intense lines, 10° ≤ 2θ ≤ 90°, low angle first:
2theta, Rel. int.
17.47, 520
20.43, 628
21.18, 565
23.51, 654
25.03, 769
28.90, 1000
29.44, 775
32.39, 309
35.37, 301
36.71, 281
44.81, 343
46.30, 293

Structural model:
Cell lengths 9.134, 8.781, 6.605 Å; angles 90.00, 113.27, 90.00 degrees
Space group C2 (No. 5)
Symmetry-distinct sites (fractional):
Cs: 0.000 0.000 0.000 [2 per cell]
Mn: 0.000 0.335 0.500 [2 per cell]
P: 0.000 0.434 0.000 [2 per cell]
P: 0.177 0.618 0.393 [4 per cell]
H: 0.000 0.750 0.500 [2 per cell]
O: 0.055 0.746 0.361 [4 per cell]
O: 0.065 0.346 0.858 [4 per cell]
O: 0.140 0.549 0.149 [4 per cell]
O: 0.150 0.169 0.523 [4 per cell]
O: 0.164 0.489 0.542 [4 per cell]